# Na5Nd4Ge4O16F
Simulated powder diffractogram, Cu Kα. Input: a structure optimized by DFT (GGA-PBE).
Intensities are scaled so that the largest is 100.

Main lines, by angle (10 to 80 degrees two-theta):
2θ (°), I_rel, h k l
10.27, 49, 1 1 0
14.54, 43, 2 0 0
17.08, 45, 1 0 1
22.50, 74, 1 2 1
26.89, 42, 3 0 1
30.70, 100, 2 3 1
31.16, 72, 0 0 2
34.13, 82, 1 4 1
45.93, 49, 4 2 2
48.12, 52, 1 6 1

Crystal structure
```
data_Na5Nd4Ge4O16F
_chemical_formula_sum 'Na10 Nd8 Ge8 O32 F2'
_cell_length_a 12.183
_cell_length_b 12.183
_cell_length_c 5.740
_cell_angle_alpha 90.00
_cell_angle_beta 90.00
_cell_angle_gamma 90.00
_symmetry_space_group_name_H-M 'I -4'
_symmetry_Int_Tables_number 82
_symmetry_space_group_name_Hall 'I -4'
loop_
_atom_site_label
_atom_site_type_symbol
_atom_site_fract_x
_atom_site_fract_y
_atom_site_fract_z
_atom_site_occupancy
Na1 Na 0.000 0.000 0.000 1
Na2 Na 0.088 0.395 0.518 1
Nd1 Nd 0.115 0.818 0.524 1
Ge1 Ge 0.103 0.247 0.010 1
O1 O 0.034 0.209 0.270 1
O2 O 0.048 0.178 0.768 1
O3 O 0.108 0.391 0.972 1
O4 O 0.204 0.760 0.923 1
F1 F 0.000 0.000 0.500 1
```